# SnPt10
Simulated powder XRD pattern, Cu Kα (weighted mean of Kα1 and Kα2). Input: the GGA-PBE geometry in OQMD.

Top 10 peaks for 2θ = 10–90°, sorted by position:
d 2.385, 37.72 deg, intensity 100.0
d 2.289, 39.37 deg, intensity 89.1
d 2.255, 39.98 deg, intensity 86.9
d 2.248, 40.11 deg, intensity 86.4
d 2.014, 45.00 deg, intensity 42.1
d 1.976, 45.93 deg, intensity 59.5
d 1.969, 46.11 deg, intensity 39.5
d 1.411, 66.22 deg, intensity 33.9
d 1.395, 67.09 deg, intensity 26.4
d 1.215, 78.77 deg, intensity 24.0

Crystal structure
Lattice parameters (Å, degrees): 4.793 4.793 31.805 90.06 90.06 48.72
Positions (direct):
Sn (0.155, 0.155, 0.300)
Sn (0.845, 0.845, 0.700)
Pt (0.049, 0.049, 0.100)
Pt (0.053, 0.053, 0.815)
Pt (0.148, 0.148, 0.728)
Pt (0.150, 0.150, 0.014)
Pt (0.249, 0.249, 0.214)
Pt (0.251, 0.251, 0.929)
Pt (0.348, 0.348, 0.127)
Pt (0.353, 0.353, 0.843)
Pt (0.450, 0.450, 0.042)
Pt (0.451, 0.451, 0.756)
Pt (0.549, 0.549, 0.244)
Pt (0.550, 0.550, 0.958)
Pt (0.647, 0.647, 0.157)
Pt (0.652, 0.652, 0.873)
Pt (0.749, 0.749, 0.071)
Pt (0.751, 0.751, 0.786)
Pt (0.850, 0.850, 0.986)
Pt (0.852, 0.852, 0.272)
Pt (0.947, 0.947, 0.185)
Pt (0.951, 0.951, 0.900)



# Cu7Ag2
Simulated powder XRD pattern, Cu Kα (weighted mean of Kα1 and Kα2). Input: the GGA-PBE geometry in OQMD.

Top 10 peaks for 2θ = 10–90°, sorted by position:
d 2.873, 31.13 deg, intensity 8.0
d 2.173, 41.56 deg, intensity 97.6
d 2.151, 42.00 deg, intensity 100.0
d 1.938, 46.89 deg, intensity 67.6
d 1.759, 51.97 deg, intensity 25.8
d 1.382, 67.84 deg, intensity 8.7
d 1.359, 69.11 deg, intensity 10.3
d 1.303, 72.57 deg, intensity 33.4
d 1.162, 83.09 deg, intensity 19.4
d 1.152, 83.98 deg, intensity 22.2

Crystal structure
Lattice parameters (Å, degrees): 12.631 12.631 12.631 167.65 163.99 20.28
Positions (direct):
Cu (0.000, 0.000, 0.000)
Cu (0.224, 0.224, 0.000)
Cu (0.326, 0.326, 0.000)
Cu (0.449, 0.449, 0.000)
Cu (0.551, 0.551, 0.000)
Cu (0.674, 0.674, 0.000)
Cu (0.776, 0.776, 0.000)
Ag (0.112, 0.112, 0.000)
Ag (0.888, 0.888, 0.000)



# HoHg3S4Cl
Simulated powder XRD pattern, Cu Kα (weighted mean of Kα1 and Kα2). Input: the GGA-PBE geometry in OQMD.

Top 10 peaks for 2θ = 10–90°, sorted by position:
d 4.011, 22.16 deg, intensity 29.6
d 3.464, 25.71 deg, intensity 30.9
d 3.437, 25.93 deg, intensity 100.0
d 2.821, 31.72 deg, intensity 43.9
d 2.610, 34.36 deg, intensity 56.2
d 2.180, 41.41 deg, intensity 25.1
d 1.989, 45.60 deg, intensity 17.3
d 1.984, 45.73 deg, intensity 38.0
d 1.778, 51.38 deg, intensity 17.7
d 1.732, 52.85 deg, intensity 20.6

Crystal structure
Lattice parameters (Å, degrees): 7.937 7.937 8.023 90.00 90.00 120.00
Positions (direct):
Ho (0.000, 0.000, 0.000)
Ho (0.000, 0.000, 0.500)
Hg (0.014, 0.507, 0.177)
Hg (0.493, 0.507, 0.177)
Hg (0.493, 0.986, 0.177)
Hg (0.507, 0.014, 0.677)
Hg (0.507, 0.493, 0.677)
Hg (0.986, 0.493, 0.677)
S (0.141, 0.283, 0.745)
S (0.141, 0.859, 0.745)
S (0.283, 0.141, 0.245)
S (0.333, 0.667, 0.022)
S (0.667, 0.333, 0.522)
S (0.717, 0.859, 0.745)
S (0.859, 0.141, 0.245)
S (0.859, 0.717, 0.245)
Cl (0.333, 0.667, 0.449)
Cl (0.667, 0.333, 0.949)



# Sn3Ir2S3
Simulated powder XRD pattern, Cu Kα (weighted mean of Kα1 and Kα2). Input: the GGA-PBE geometry in OQMD.

Top 10 peaks for 2θ = 10–90°, sorted by position:
d 4.453, 19.94 deg, intensity 100.0
d 3.149, 28.34 deg, intensity 34.6
d 2.969, 30.10 deg, intensity 22.0
d 2.816, 31.77 deg, intensity 54.6
d 2.470, 36.37 deg, intensity 53.6
d 2.380, 37.80 deg, intensity 34.1
d 2.160, 41.82 deg, intensity 25.5
d 1.991, 45.55 deg, intensity 61.1
d 1.818, 50.18 deg, intensity 42.4
d 1.654, 55.57 deg, intensity 18.8

Crystal structure
Lattice parameters (Å, degrees): 8.906 8.906 8.906 90.00 90.00 90.00
Positions (direct):
Sn (0.000, 0.161, 0.327)
Sn (0.000, 0.161, 0.673)
Sn (0.000, 0.839, 0.327)
Sn (0.000, 0.839, 0.673)
Sn (0.161, 0.327, 0.000)
Sn (0.161, 0.673, 0.000)
Sn (0.327, 0.000, 0.161)
Sn (0.327, 0.000, 0.839)
Sn (0.673, 0.000, 0.161)
Sn (0.673, 0.000, 0.839)
Sn (0.839, 0.327, 0.000)
Sn (0.839, 0.673, 0.000)
Ir (0.277, 0.277, 0.277)
Ir (0.277, 0.277, 0.723)
Ir (0.277, 0.723, 0.277)
Ir (0.277, 0.723, 0.723)
Ir (0.723, 0.277, 0.277)
Ir (0.723, 0.277, 0.723)
Ir (0.723, 0.723, 0.277)
Ir (0.723, 0.723, 0.723)
S (0.183, 0.500, 0.372)
S (0.183, 0.500, 0.628)
S (0.372, 0.183, 0.500)
S (0.372, 0.817, 0.500)
S (0.500, 0.372, 0.183)
S (0.500, 0.372, 0.817)
S (0.500, 0.628, 0.183)
S (0.500, 0.628, 0.817)
S (0.628, 0.183, 0.500)
S (0.628, 0.817, 0.500)
S (0.817, 0.500, 0.372)
S (0.817, 0.500, 0.628)



# PrNdCd2Sn2
Simulated powder XRD pattern, Cu Kα (weighted mean of Kα1 and Kα2). Input: the GGA-PBE geometry in OQMD.

Top 10 peaks for 2θ = 10–90°, sorted by position:
d 3.315, 26.89 deg, intensity 10.7
d 2.922, 30.60 deg, intensity 100.0
d 2.410, 37.31 deg, intensity 71.9
d 2.040, 44.41 deg, intensity 13.4
d 1.859, 49.00 deg, intensity 27.0
d 1.560, 59.25 deg, intensity 15.7
d 1.472, 63.16 deg, intensity 25.1
d 1.391, 67.30 deg, intensity 12.7
d 1.205, 79.55 deg, intensity 8.5
d 1.114, 87.59 deg, intensity 10.6

Crystal structure
Lattice parameters (Å, degrees): 4.820 4.820 16.367 90.00 90.00 120.00
Positions (direct):
Pr (0.000, 0.000, 0.250)
Pr (0.000, 0.000, 0.750)
Nd (0.000, 0.000, 0.000)
Nd (0.000, 0.000, 0.500)
Cd (0.333, 0.667, 0.153)
Cd (0.333, 0.667, 0.347)
Cd (0.667, 0.333, 0.653)
Cd (0.667, 0.333, 0.847)
Sn (0.333, 0.667, 0.609)
Sn (0.333, 0.667, 0.891)
Sn (0.667, 0.333, 0.109)
Sn (0.667, 0.333, 0.391)



# TlZnW4C2
Simulated powder XRD pattern, Cu Kα (weighted mean of Kα1 and Kα2). Input: the GGA-PBE geometry in OQMD.

Top 10 peaks for 2θ = 10–90°, sorted by position:
d 2.682, 33.41 deg, intensity 24.9
d 2.500, 35.92 deg, intensity 6.3
d 2.318, 38.85 deg, intensity 100.0
d 2.304, 39.09 deg, intensity 18.7
d 1.748, 52.35 deg, intensity 14.2
d 1.548, 59.72 deg, intensity 20.4
d 1.453, 64.10 deg, intensity 5.8
d 1.333, 70.67 deg, intensity 13.0
d 1.288, 73.56 deg, intensity 15.6
d 1.285, 73.72 deg, intensity 17.9

Crystal structure
Lattice parameters (Å, degrees): 3.097 3.097 13.825 90.00 90.00 120.00
Positions (direct):
Tl (0.000, 0.000, 0.000)
Zn (0.667, 0.333, 0.500)
W (0.000, 0.000, 0.346)
W (0.000, 0.000, 0.654)
W (0.667, 0.333, 0.178)
W (0.667, 0.333, 0.822)
C (0.333, 0.667, 0.261)
C (0.333, 0.667, 0.739)



# Ta3Nb4Co6
Simulated powder XRD pattern, Cu Kα (weighted mean of Kα1 and Kα2). Input: the GGA-PBE geometry in OQMD.

Top 10 peaks for 2θ = 10–90°, sorted by position:
d 2.486, 36.14 deg, intensity 80.6
d 2.228, 40.49 deg, intensity 21.3
d 2.170, 41.63 deg, intensity 20.0
d 2.157, 41.89 deg, intensity 100.0
d 2.074, 43.64 deg, intensity 39.6
d 1.989, 45.60 deg, intensity 30.2
d 1.362, 68.92 deg, intensity 22.6
d 1.341, 70.19 deg, intensity 19.1
d 1.250, 76.15 deg, intensity 18.9
d 1.243, 76.68 deg, intensity 22.5

Crystal structure
Lattice parameters (Å, degrees): 9.140 9.140 9.140 31.56 31.56 31.56
Positions (direct):
Ta (0.000, 0.000, 0.000)
Ta (0.166, 0.166, 0.166)
Ta (0.834, 0.834, 0.834)
Nb (0.346, 0.346, 0.346)
Nb (0.450, 0.450, 0.450)
Nb (0.550, 0.550, 0.550)
Nb (0.654, 0.654, 0.654)
Co (0.092, 0.092, 0.580)
Co (0.092, 0.580, 0.092)
Co (0.420, 0.908, 0.908)
Co (0.580, 0.092, 0.092)
Co (0.908, 0.420, 0.908)
Co (0.908, 0.908, 0.420)



# Nd4CIBr4
Simulated powder XRD pattern, Cu Kα (weighted mean of Kα1 and Kα2). Input: the GGA-PBE geometry in OQMD.

Top 10 peaks for 2θ = 10–90°, sorted by position:
d 8.548, 10.35 deg, intensity 39.1
d 3.248, 27.46 deg, intensity 19.2
d 2.979, 30.00 deg, intensity 68.2
d 2.963, 30.16 deg, intensity 100.0
d 2.670, 33.56 deg, intensity 13.0
d 2.198, 41.07 deg, intensity 15.1
d 2.106, 42.95 deg, intensity 28.0
d 2.098, 43.12 deg, intensity 28.1
d 2.005, 45.21 deg, intensity 18.3
d 1.664, 55.20 deg, intensity 15.4

Crystal structure
Lattice parameters (Å, degrees): 9.416 9.416 8.791 103.19 103.19 24.59
Positions (direct):
Nd (0.001, 0.001, 0.304)
Nd (0.359, 0.359, 0.428)
Nd (0.641, 0.641, 0.572)
Nd (0.999, 0.999, 0.696)
C (0.500, 0.500, 0.500)
I (0.500, 0.500, 0.000)
Br (0.165, 0.165, 0.828)
Br (0.171, 0.171, 0.338)
Br (0.829, 0.829, 0.662)
Br (0.835, 0.835, 0.172)